[1]
TaSbBr: computed powder XRD pattern (Cu Kα (λ = 1.5418 Å)), based on a GGA-PBE-relaxed structure.

```
TaSbBr
1.0
12.878 0.000 0.000
0.000 3.298 0.000
-4.456 0.000 7.727
Ta Sb Br
4 4 4
Direct
0.000 0.000 0.000
0.161 0.500 0.905
0.500 0.500 0.000
0.661 0.000 0.905
0.290 0.000 0.783
0.465 0.500 0.658
0.790 0.500 0.783
0.965 0.000 0.658
0.030 0.500 0.251
0.238 0.000 0.169
0.530 0.000 0.251
0.738 0.500 0.169
```

Main lines, low angle first (10° ≤ 2θ ≤ 90°):
- 2θ 11.5, I 100
- 2θ 28.6, I 13
- 2θ 32.1, I 12
- 2θ 34.0, I 32
- 2θ 34.3, I 33
- 2θ 36.1, I 11
- 2θ 36.4, I 28
- 2θ 41.5, I 17
- 2θ 42.0, I 40
- 2θ 44.0, I 11
- 2θ 45.6, I 14
- 2θ 55.7, I 12

=====

[2]
AcPu2N: computed powder XRD pattern (Cu Kα (λ = 1.5418 Å)), based on a GGA-PBE-relaxed structure.

```
AcPu2N
1.0
3.989 0.000 0.000
-1.995 3.455 0.000
0.000 0.000 20.550
Ac Pu N
3 6 3
Direct
0.000 0.000 0.000
0.333 0.667 0.667
0.667 0.333 0.333
0.000 0.000 0.187
0.000 0.000 0.813
0.333 0.667 0.480
0.333 0.667 0.853
0.667 0.333 0.147
0.667 0.333 0.520
0.000 0.000 0.500
0.333 0.667 0.167
0.667 0.333 0.833
```

Main lines, low angle first (10° ≤ 2θ ≤ 90°):
- 2θ 12.9, I 42
- 2θ 26.0, I 54
- 2θ 26.2, I 72
- 2θ 31.2, I 16
- 2θ 33.9, I 100
- 2θ 45.5, I 55
- 2θ 51.8, I 23
- 2θ 53.1, I 58
- 2θ 56.0, I 26
- 2θ 57.9, I 23
- 2θ 76.6, I 21
- 2θ 89.9, I 11

=====

[3]
Hf4NiC: computed powder XRD pattern (Cu Kα (λ = 1.5418 Å)), based on a GGA-PBE-relaxed structure.

```
Hf4NiC
1.0
-3.962 3.962 3.588
3.962 -3.962 3.588
3.962 3.962 -3.588
Hf Ni C
8 2 2
Direct
0.194 0.482 0.288
0.194 0.906 0.712
0.197 0.000 0.197
0.232 0.444 0.788
0.656 0.444 0.212
0.750 0.053 0.303
0.750 0.447 0.697
0.803 0.000 0.803
0.461 0.961 0.500
0.711 0.711 0.000
0.233 0.233 0.000
0.983 0.483 0.500
```

Main lines, low angle first (10° ≤ 2θ ≤ 90°):
- 2θ 31.9, I 41
- 2θ 33.7, I 100
- 2θ 35.8, I 31
- 2θ 44.1, I 13
- 2θ 45.8, I 26
- 2θ 50.9, I 8
- 2θ 55.5, I 21
- 2θ 58.1, I 20
- 2θ 65.4, I 10
- 2θ 69.1, I 13
- 2θ 70.9, I 11
- 2θ 71.4, I 8